Diffraction record for PmHfO4. The powder X-ray diffraction pattern is theoretical, not measured: it uses DFT lattice parameters and positions (GGA-PBE) and Cu Kα.
Peak positions follow from Bragg's law for the DFT cell and can differ from measured ones.

Structural model:
Cell: 5.4510 5.4510 10.7839 Å, 90.00 90.00 90.00°
Space group I4cm (No. 108)
One atom of each set of equivalent atoms:
Pm (0.0000, 0.0000, 0.0000) [4 per cell]
Hf (0.0000, 0.5000, 0.2783) [4 per cell]
O (0.1458, 0.3542, 0.1178) [8 per cell]
O (0.2440, 0.2560, 0.8593) [8 per cell]

Peak list (6 most intense, 2θ from 10° to 90°, low angle first)
index	2θ (°)	I/Imax
1 1 2	28.47	100
2 0 0	32.86	27
2 2 0	47.16	16
2 0 4	47.43	28
3 1 2	56.01	32
1 1 6	56.49	12

=====

Diffraction record for PmHfPtO6. The powder X-ray diffraction pattern is theoretical, not measured: it uses DFT lattice parameters and positions (GGA-PBE) and Cu Kα.
Peak positions follow from Bragg's law for the DFT cell and can differ from measured ones.

Structural model:
Cell: 4.9566 4.9566 9.9147 Å, 90.00 90.00 90.00°
Space group P4_2nm (No. 102)
One atom of each set of equivalent atoms:
Pm (0.0000, 0.0000, 0.0000) [2 per cell]
Hf (0.0000, 0.0000, 0.6624) [2 per cell]
Pt (0.0000, 0.0000, 0.3263) [2 per cell]
O (0.1745, 0.1745, 0.4874) [4 per cell]
O (0.2058, 0.2058, 0.1823) [4 per cell]
O (0.2138, 0.2138, 0.8114) [4 per cell]

Peak list (6 most intense, 2θ from 10° to 90°, low angle first)
index	2θ (°)	I/Imax
1 1 0	25.41	100
1 0 3	32.56	89
2 0 0	36.25	28
2 1 3	49.51	69
3 1 0	58.92	17
3 0 3	62.89	20

=====

Diffraction record for PmHfSbO6. The powder X-ray diffraction pattern is theoretical, not measured: it uses DFT lattice parameters and positions (GGA-PBE) and Cu Kα.
Peak positions follow from Bragg's law for the DFT cell and can differ from measured ones.

Structural model:
Cell: 5.4072 5.4072 10.0625 Å, 90.00 90.00 120.00°
Space group P-31c (No. 163)
One atom of each set of equivalent atoms:
Pm (0.0000, 0.0000, 0.0000) [2 per cell]
Hf (0.3333, 0.6667, 0.2500) [2 per cell]
Sb (0.3333, 0.6667, 0.7500) [2 per cell]
O (0.0112, 0.3674, 0.6397) [12 per cell]

Peak list (6 most intense, 2θ from 10° to 90°, low angle first)
index	2θ (°)	I/Imax
1 0 2	25.99	100
1 1 0	33.14	47
2 0 2	42.59	26
1 1 4	49.49	46
2 1 2	55.00	25
3 0 0	59.19	15

=====

Diffraction record for PmHfSnO6. The powder X-ray diffraction pattern is theoretical, not measured: it uses DFT lattice parameters and positions (GGA-PBE) and Cu Kα.
Peak positions follow from Bragg's law for the DFT cell and can differ from measured ones.

Structural model:
Cell: 5.0197 5.0197 10.1503 Å, 90.00 90.00 90.00°
Space group P4_2nm (No. 102)
One atom of each set of equivalent atoms:
Pm (0.0000, 0.0000, 0.0000) [2 per cell]
Hf (0.0000, 0.0000, 0.6670) [2 per cell]
Sn (0.0000, 0.0000, 0.3316) [2 per cell]
O (0.1760, 0.1760, 0.4976) [4 per cell]
O (0.2048, 0.2048, 0.8124) [4 per cell]
O (0.2059, 0.2059, 0.1833) [4 per cell]

Peak list (6 most intense, 2θ from 10° to 90°, low angle first)
index	2θ (°)	I/Imax
1 1 0	25.09	100
1 0 3	31.90	88
2 0 0	35.78	26
2 1 3	48.68	70
1 1 6	60.64	17
3 0 3	61.86	20

=====

Diffraction record for PmHfTaO6. The powder X-ray diffraction pattern is theoretical, not measured: it uses DFT lattice parameters and positions (GGA-PBE) and Cu Kα.
Peak positions follow from Bragg's law for the DFT cell and can differ from measured ones.

Structural model:
Cell: 5.3976 5.3976 10.0074 Å, 90.00 90.00 120.00°
Space group P-31c (No. 163)
One atom of each set of equivalent atoms:
Pm (0.0000, 0.0000, 0.0000) [2 per cell]
Hf (0.3333, 0.6667, 0.2500) [2 per cell]
Ta (0.3333, 0.6667, 0.7500) [2 per cell]
O (0.0111, 0.3669, 0.6403) [12 per cell]

Peak list (6 most intense, 2θ from 10° to 90°, low angle first)
index	2θ (°)	I/Imax
0 0 2	17.73	20
1 0 2	26.09	100
1 1 0	33.20	52
2 0 2	42.70	26
1 1 4	49.69	48
2 1 2	55.13	26

=====

Diffraction record for PmHfTiO6. The powder X-ray diffraction pattern is theoretical, not measured: it uses DFT lattice parameters and positions (GGA-PBE) and Cu Kα.
Peak positions follow from Bragg's law for the DFT cell and can differ from measured ones.

Structural model:
Cell: 5.3546 5.3546 9.9294 Å, 90.00 90.00 120.00°
Space group P-31c (No. 163)
One atom of each set of equivalent atoms:
Pm (0.0000, 0.0000, 0.0000) [2 per cell]
Hf (0.3333, 0.6667, 0.2500) [2 per cell]
Ti (0.3333, 0.6667, 0.7500) [2 per cell]
O (0.0146, 0.3680, 0.6407) [12 per cell]

Peak list (6 most intense, 2θ from 10° to 90°, low angle first)
index	2θ (°)	I/Imax
1 0 1	21.15	27
1 0 2	26.30	100
1 1 0	33.47	41
2 0 2	43.06	25
1 1 4	50.11	42
2 1 2	55.61	25

=====

Diffraction record for Rb14Hf2O9. The powder X-ray diffraction pattern is theoretical, not measured: it uses DFT lattice parameters and positions (GGA-PBE) and Cu Kα.
Peak positions follow from Bragg's law for the DFT cell and can differ from measured ones.

Structural model:
Cell: 10.7806 10.7806 10.8707 Å, 90.00 90.00 120.00°
Space group P-3 (No. 147)
One atom of each set of equivalent atoms:
Rb (0.0000, 0.0000, 0.2251) [2 per cell]
Rb (0.0072, 0.6505, 0.4238) [6 per cell]
Rb (0.1004, 0.4008, 0.1227) [6 per cell]
Hf (0.3333, 0.6667, 0.3327) [2 per cell]
O (0.0000, 0.0000, 0.0000) [1 per cell]
O (0.1625, 0.4846, 0.3804) [6 per cell]
O (0.3333, 0.6667, 0.1526) [2 per cell]

Peak list (6 most intense, 2θ from 10° to 90°, low angle first)
index	2θ (°)	I/Imax
0 1 1	12.50	100
1 1 2	23.24	73
1 2 0	25.19	30
1 2 1	26.56	19
3 0 0	28.68	44
3 1 1	35.64	17

=====

Diffraction record for RbHf2SbO8. The powder X-ray diffraction pattern is theoretical, not measured: it uses DFT lattice parameters and positions (GGA-PBE) and Cu Kα.
Peak positions follow from Bragg's law for the DFT cell and can differ from measured ones.

Structural model:
Cell: 6.9396 6.7821 7.3753 Å, 90.00 90.12 90.00°
Space group C2/m (No. 12)
One atom of each set of equivalent atoms:
Rb (0.0000, 0.0000, 0.0000) [2 per cell]
Hf (0.0002, 0.5000, 0.2869) [4 per cell]
Sb (0.0000, 0.0000, 0.5000) [2 per cell]
O (0.0012, 0.2043, 0.6919) [8 per cell]
O (0.1095, 0.5000, 0.0004) [4 per cell]
O (0.1980, 0.5000, 0.5002) [4 per cell]

Peak list (6 most intense, 2θ from 10° to 90°, low angle first)
index	2θ (°)	I/Imax
2 0 0	25.67	65
0 2 0	26.28	54
1 1 2	30.45	100
2 2 0	37.07	31
3 1 -2	48.35	38
1 3 2	49.05	33

=====

Diffraction record for RbHf2Sc2O7. The powder X-ray diffraction pattern is theoretical, not measured: it uses DFT lattice parameters and positions (GGA-PBE) and Cu Kα.
Peak positions follow from Bragg's law for the DFT cell and can differ from measured ones.

Structural model:
Cell: 4.2406 4.2406 18.0068 Å, 90.00 90.00 90.00°
Space group I4/mmm (No. 139)
One atom of each set of equivalent atoms:
Rb (0.0000, 0.0000, 0.0000) [2 per cell]
Hf (0.0000, 0.0000, 0.3878) [4 per cell]
Sc (0.0000, 0.5000, 0.2500) [4 per cell]
O (0.0000, 0.0000, 0.2675) [4 per cell]
O (0.0000, 0.0000, 0.5000) [2 per cell]
O (0.0000, 0.5000, 0.1285) [8 per cell]

Peak list (6 most intense, 2θ from 10° to 90°, low angle first)
index	2θ (°)	I/Imax
1 0 1	21.53	81
1 0 3	25.72	89
1 1 0	29.79	55
1 0 5	32.62	100
2 0 0	42.64	68
2 0 8	59.93	58

=====

Diffraction record for Rb2HfTa3O12. The powder X-ray diffraction pattern is theoretical, not measured: it uses DFT lattice parameters and positions (GGA-PBE) and Cu Kα.
Peak positions follow from Bragg's law for the DFT cell and can differ from measured ones.

Structural model:
Cell: 7.5476 7.5476 18.5542 Å, 90.00 90.00 120.00°
Space group R-3m (No. 166, hexagonal axes)
One atom of each set of equivalent atoms:
Rb (0.0000, 0.0000, 0.1252) [6 per cell]
Hf (0.0000, 0.0000, 0.5000) [3 per cell]
Ta (0.0000, 0.5000, 0.0000) [9 per cell]
O (0.0711, 0.5356, 0.1037) [18 per cell]
O (0.0835, 0.5417, 0.3515) [18 per cell]

Peak list (6 most intense, 2θ from 10° to 90°, low angle first)
index	2θ (°)	I/Imax
0 0 3	14.35	55
0 2 1	27.69	100
0 0 6	28.94	63
3 0 3	44.05	25
2 2 0	48.23	21
0 4 2	57.21	21

=====

Diffraction record for RbHf2Ti2O7. The powder X-ray diffraction pattern is theoretical, not measured: it uses DFT lattice parameters and positions (GGA-PBE) and Cu Kα.
Peak positions follow from Bragg's law for the DFT cell and can differ from measured ones.

Structural model:
Cell: 4.1786 4.1786 17.5095 Å, 90.00 90.00 90.00°
Space group I4/mmm (No. 139)
One atom of each set of equivalent atoms:
Rb (0.0000, 0.0000, 0.0000) [2 per cell]
Hf (0.0000, 0.0000, 0.3846) [4 per cell]
Ti (0.0000, 0.5000, 0.2500) [4 per cell]
O (0.0000, 0.0000, 0.2553) [4 per cell]
O (0.0000, 0.0000, 0.5000) [2 per cell]
O (0.0000, 0.5000, 0.1298) [8 per cell]

Peak list (6 most intense, 2θ from 10° to 90°, low angle first)
index	2θ (°)	I/Imax
1 0 1	21.87	78
1 0 3	26.23	98
1 1 0	30.25	48
1 0 5	33.38	100
2 0 0	43.31	71
2 1 5	55.76	48

=====

Diffraction record for Rb2HfZnO4. The powder X-ray diffraction pattern is theoretical, not measured: it uses DFT lattice parameters and positions (GGA-PBE) and Cu Kα.
Peak positions follow from Bragg's law for the DFT cell and can differ from measured ones.

Structural model:
Cell: 5.3208 12.6142 21.6758 Å, 90.00 90.00 90.00°
Space group Fddd (No. 70, origin choice 2)
One atom of each set of equivalent atoms:
Rb (0.1250, 0.1250, 0.3017) [16 per cell]
Hf (0.1250, 0.1250, 0.1250) [8 per cell]
Zn (0.1250, 0.1250, 0.6250) [8 per cell]
O (0.1144, 0.2881, 0.4218) [32 per cell]

Peak list (6 most intense, 2θ from 10° to 90°, low angle first)
index	2θ (°)	I/Imax
0 0 4	16.31	100
1 1 1	18.56	41
0 4 0	28.30	35
0 2 6	28.47	78
1 3 5	34.17	33
2 2 0	36.66	37